(1)
The following is a simulated XRD peak list of LiAl2Cu4. It was derived from the PBE geometry in Alexandria, using λ = 1.5418 Å (Cu Kα).
Lines closer than 0.1° are merged.

Atomic structure:
Cell lengths 4.7457, 7.7254, 12.3100 Å; angles 90.00, 90.00, 90.00 degrees
Space group Fmmm (No. 69)
Unique sites:
Li: 0.0000 0.0000 0.0000 (multiplicity 4)
Al: 0.0000 0.0000 0.3894 (multiplicity 8)
Cu: 0.0000 0.0000 0.1940 (multiplicity 8)
Cu: 0.2500 0.2500 0.0000 (multiplicity 8)

Most intense lines, 2θ from 5° to 70°, sorted by position:
(hkl), 2θ (°), intensity
0 0 2, 14.39, 10
0 2 2, 27.26, 100
0 0 4, 29.01, 11
1 1 3, 31.05, 21
0 2 4, 37.36, 21
2 0 2, 40.75, 33
1 1 5, 43.01, 40
2 2 0, 44.83, 54
0 4 0, 47.05, 23
1 3 5, 55.12, 18
2 4 2, 63.97, 16
2 2 6, 64.73, 10

(2)
The following is a simulated XRD peak list of LiAl2Cu. It was derived from the PBE geometry in Alexandria, using λ = 1.5418 Å (Cu Kα).
Lines closer than 0.1° are merged.

Atomic structure:
Cell lengths 8.8884, 2.8308, 4.7512 Å; angles 90.00, 101.85, 90.00 degrees
Space group C2/m (No. 12)
Unique sites:
Li: 0.0000 0.0000 0.0000 (multiplicity 2)
Al: 0.2366 0.0000 0.7387 (multiplicity 4)
Cu: 0.0000 0.5000 0.5000 (multiplicity 2)

Most intense lines, 2θ from 5° to 70°, sorted by position:
(hkl), 2θ (°), intensity
0 0 1, 19.09, 93
2 0 -1, 25.00, 51
2 0 1, 30.90, 16
1 1 0, 33.28, 36
1 1 1, 39.74, 100
2 0 -2, 40.04, 49
4 0 0, 41.52, 42
3 1 0, 44.74, 26
3 1 -1, 46.25, 63
2 0 2, 48.01, 28
1 1 -3, 67.83, 19
5 1 1, 69.90, 16

(3)
The following is a simulated XRD peak list of Li4Al2Cu5. It was derived from the PBE geometry in Alexandria, using λ = 1.5418 Å (Cu Kα).
Lines closer than 0.1° are merged.

Atomic structure:
Cell lengths 8.3935, 5.2501, 6.8666 Å; angles 90.00, 95.36, 90.00 degrees
Space group C2/m (No. 12)
Unique sites:
Li: 0.1348 0.0000 0.0997 (multiplicity 4)
Li: 0.1645 0.0000 0.4648 (multiplicity 4)
Al: 0.1293 0.5000 0.1573 (multiplicity 4)
Cu: 0.0000 0.5000 0.5000 (multiplicity 2)
Cu: 0.1147 0.2510 0.7885 (multiplicity 8)

Most intense lines, 2θ from 5° to 70°, sorted by position:
(hkl), 2θ (°), intensity
1 1 0, 19.97, 26
2 0 0, 21.26, 11
2 0 -1, 23.90, 67
0 0 2, 26.04, 43
0 0 3, 39.55, 24
2 2 -1, 42.12, 24
4 0 0, 43.31, 13
2 2 1, 43.45, 100
2 0 3, 47.19, 16
2 2 -2, 47.68, 21
4 0 2, 53.50, 14
2 0 -4, 56.25, 17

(4)
The following is a simulated XRD peak list of LiAl2Cu. It was derived from the PBE geometry in Alexandria, using λ = 1.5418 Å (Cu Kα).
Lines closer than 0.1° are merged.

Atomic structure:
Cell lengths 3.8323, 3.8323, 7.8073 Å; angles 90.00, 90.00, 90.00 degrees
Space group I-4m2 (No. 119)
Unique sites:
Li: 0.0000 0.0000 0.0000 (multiplicity 2)
Al: 0.0000 0.0000 0.5000 (multiplicity 2)
Al: 0.0000 0.5000 0.7500 (multiplicity 2)
Cu: 0.0000 0.5000 0.2500 (multiplicity 2)

Most intense lines, 2θ from 5° to 70°, sorted by position:
(hkl), 2θ (°), intensity
0 0 2, 22.78, 29
1 0 1, 25.90, 46
1 1 0, 33.06, 22
1 1 2, 40.52, 100
1 0 3, 41.96, 12
0 0 4, 46.53, 17
2 0 0, 47.45, 31
2 0 2, 53.25, 11
2 1 1, 54.84, 11
1 1 4, 58.26, 8
2 0 4, 68.64, 20
2 2 0, 69.36, 9

(5)
The following is a simulated XRD peak list of Li4Al3Cu. It was derived from the PBE geometry in Alexandria, using λ = 1.5418 Å (Cu Kα).
Lines closer than 0.1° are merged.

Atomic structure:
Cell lengths 4.3359, 21.6372, 2.6822 Å; angles 90.00, 90.00, 90.00 degrees
Space group Cmmm (No. 65)
Unique sites:
Li: 0.0000 0.0994 0.0000 (multiplicity 4)
Li: 0.0000 0.2174 0.0000 (multiplicity 4)
Al: 0.0000 0.3439 0.5000 (multiplicity 4)
Al: 0.0000 0.5000 0.0000 (multiplicity 2)
Cu: 0.0000 0.0000 0.5000 (multiplicity 2)

Most intense lines, 2θ from 5° to 70°, sorted by position:
(hkl), 2θ (°), intensity
0 2 0, 8.17, 100
0 4 0, 16.39, 15
1 3 0, 23.95, 29
0 6 0, 24.69, 34
0 8 0, 33.12, 8
1 3 1, 41.52, 45
2 0 0, 41.67, 15
0 6 1, 41.98, 9
1 9 0, 43.02, 9
1 5 1, 44.92, 11
2 6 0, 49.03, 10
1 9 1, 55.53, 11

(6)
The following is a simulated XRD peak list of Li5Al2Cu. It was derived from the PBE geometry in Alexandria, using λ = 1.5418 Å (Cu Kα).
Lines closer than 0.1° are merged.

Atomic structure:
Cell lengths 5.4672, 10.7413, 4.2499 Å; angles 90.00, 90.00, 90.00 degrees
Space group Pbam (No. 55)
Unique sites:
Li: 0.0000 0.0000 0.0000 (multiplicity 2)
Li: 0.1036 0.2565 0.0000 (multiplicity 4)
Li: 0.1717 0.8596 0.5000 (multiplicity 4)
Al: 0.1659 0.5975 0.5000 (multiplicity 4)
Cu: 0.0000 0.5000 0.0000 (multiplicity 2)

Most intense lines, 2θ from 5° to 70°, sorted by position:
(hkl), 2θ (°), intensity
0 2 0, 16.51, 58
1 1 0, 18.21, 100
1 1 1, 27.86, 20
1 3 0, 29.83, 15
1 3 1, 36.71, 21
2 0 1, 39.18, 24
0 4 1, 39.70, 35
0 0 2, 42.54, 17
2 2 1, 42.78, 19
1 1 2, 46.63, 16
1 5 1, 50.44, 15
3 1 1, 55.52, 15

(7)
The following is a simulated XRD peak list of LiAl3Cu3. It was derived from the PBE geometry in Alexandria, using λ = 1.5418 Å (Cu Kα).
Lines closer than 0.1° are merged.

Atomic structure:
Cell lengths 8.3178, 8.8241, 5.4994 Å; angles 90.00, 90.00, 90.00 degrees
Space group Cmmm (No. 65)
Unique sites:
Li: 0.1690 0.0000 0.0000 (multiplicity 4)
Al: 0.0000 0.5000 0.2513 (multiplicity 4)
Al: 0.2500 0.2500 0.2565 (multiplicity 8)
Cu: 0.0000 0.1647 0.5000 (multiplicity 4)
Cu: 0.0000 0.2592 0.0000 (multiplicity 4)
Cu: 0.2468 0.0000 0.5000 (multiplicity 4)

Most intense lines, 2θ from 5° to 70°, sorted by position:
(hkl), 2θ (°), intensity
0 0 1, 16.12, 23
1 1 1, 21.84, 15
0 2 1, 25.89, 33
2 0 1, 26.88, 15
2 2 0, 29.52, 21
1 3 0, 32.28, 13
0 0 2, 32.56, 16
1 3 1, 36.28, 19
0 4 0, 40.91, 17
4 0 0, 43.52, 34
2 2 2, 44.52, 100
2 4 1, 49.63, 33

(8)
The following is a simulated XRD peak list of Li3Al2Cu4. It was derived from the PBE geometry in Alexandria, using λ = 1.5418 Å (Cu Kα).
Lines closer than 0.1° are merged.

Atomic structure:
Cell lengths 7.2113, 4.1724, 7.8059 Å; angles 90.00, 90.13, 90.00 degrees
Space group C2/m (No. 12)
Unique sites:
Li: 0.0000 0.0000 0.0000 (multiplicity 2)
Li: 0.1668 0.5000 0.4369 (multiplicity 4)
Al: 0.1665 0.5000 0.7856 (multiplicity 4)
Cu: 0.0000 0.0000 0.3319 (multiplicity 4)
Cu: 0.1669 0.5000 0.1095 (multiplicity 4)

Most intense lines, 2θ from 5° to 70°, sorted by position:
(hkl), 2θ (°), intensity
0 0 1, 11.34, 16
0 0 2, 22.78, 10
1 1 0, 24.66, 6
2 0 1, 27.22, 86
2 0 2, 33.83, 38
1 1 3, 42.84, 100
3 1 0, 43.42, 95
2 2 1, 52.00, 12
2 2 2, 56.15, 8
2 2 -3, 62.58, 20
4 0 3, 62.77, 10
0 2 4, 65.49, 7

(9)
The following is a simulated XRD peak list of LiAl6Cu12. It was derived from the PBE geometry in Alexandria, using λ = 1.5418 Å (Cu Kα).
Lines closer than 0.1° are merged.

Atomic structure:
Cell lengths 8.9568, 8.9568, 10.7293 Å; angles 90.00, 90.00, 120.00 degrees
Space group R-3 (No. 148, hexagonal axes)
Unique sites:
Li: 0.0000 0.0000 0.0000 (multiplicity 3)
Al: 0.0211 0.5926 0.7106 (multiplicity 18)
Cu: 0.0373 0.8556 0.8142 (multiplicity 18)
Cu: 0.0598 0.2064 0.4096 (multiplicity 18)

Most intense lines, 2θ from 5° to 70°, sorted by position:
(hkl), 2θ (°), intensity
1 0 1, 14.09, 19
3 -1 1, 31.64, 44
3 0 0, 34.69, 30
3 -2 2, 34.87, 17
2 2 0, 40.28, 17
4 -3 1, 42.87, 100
0 3 3, 43.17, 63
0 1 5, 43.77, 60
4 -1 2, 45.42, 60
2 1 4, 45.85, 67
4 -2 3, 47.93, 16
5 -2 4, 62.65, 15

(10)
The following is a simulated XRD peak list of Li4AlCu3. It was derived from the PBE geometry in Alexandria, using λ = 1.5418 Å (Cu Kα).
Lines closer than 0.1° are merged.

Atomic structure:
Cell lengths 14.8750, 3.8487, 3.9698 Å; angles 90.00, 105.30, 90.00 degrees
Space group C2/m (No. 12)
Unique sites:
Li: 0.1247 0.0000 0.1240 (multiplicity 4)
Li: 0.2500 0.0000 0.7498 (multiplicity 4)
Al: 0.0000 0.0000 0.5000 (multiplicity 2)
Cu: 0.0000 0.5000 0.0000 (multiplicity 2)
Cu: 0.1161 0.5000 0.6145 (multiplicity 4)

Most intense lines, 2θ from 5° to 70°, sorted by position:
(hkl), 2θ (°), intensity
2 0 0, 12.34, 80
1 1 0, 23.94, 64
4 0 -1, 29.24, 27
3 1 -1, 34.79, 13
4 0 1, 38.66, 12
6 0 -1, 38.78, 11
5 1 -1, 41.24, 100
2 0 -2, 45.71, 19
0 2 0, 47.23, 17
5 1 1, 50.42, 11
8 0 0, 50.92, 12
1 1 -2, 52.24, 14

(11)
The following is a simulated XRD peak list of Li6AlCu2. It was derived from the PBE geometry in Alexandria, using λ = 1.5418 Å (Cu Kα).
Lines closer than 0.1° are merged.

Atomic structure:
Cell lengths 4.4972, 4.4972, 25.8832 Å; angles 90.00, 90.00, 120.00 degrees
Space group R-3m (No. 166, hexagonal axes)
Unique sites:
Li: 0.0000 0.0000 0.0871 (multiplicity 6)
Li: 0.0000 0.0000 0.2006 (multiplicity 6)
Li: 0.0000 0.0000 0.3073 (multiplicity 6)
Al: 0.0000 0.0000 0.5000 (multiplicity 3)
Cu: 0.0000 0.0000 0.4084 (multiplicity 6)

Most intense lines, 2θ from 5° to 70°, sorted by position:
(hkl), 2θ (°), intensity
0 0 6, 20.59, 26
1 0 1, 23.09, 100
0 1 2, 23.86, 26
1 0 4, 26.72, 17
0 1 5, 28.68, 30
1 1 0, 40.10, 48
1 0 10, 41.90, 40
0 1 11, 45.01, 23
1 1 6, 45.49, 20
0 2 1, 46.78, 14
0 2 10, 59.38, 25
2 1 1, 63.28, 11

(12)
The following is a simulated XRD peak list of LiAlCu2. It was derived from the PBE geometry in Alexandria, using λ = 1.5418 Å (Cu Kα).
Lines closer than 0.1° are merged.

Atomic structure:
Cell lengths 8.4720, 2.6051, 4.8221 Å; angles 90.00, 97.87, 90.00 degrees
Space group C2/m (No. 12)
Unique sites:
Li: 0.0000 0.0000 0.0000 (multiplicity 2)
Al: 0.0000 0.5000 0.5000 (multiplicity 2)
Cu: 0.2422 0.0000 0.7501 (multiplicity 4)

Most intense lines, 2θ from 5° to 70°, sorted by position:
(hkl), 2θ (°), intensity
2 0 0, 21.17, 100
0 0 2, 37.66, 24
1 1 -1, 40.18, 39
2 0 -2, 40.84, 47
1 1 1, 41.60, 90
4 0 0, 43.12, 39
2 0 2, 46.24, 33
3 1 -1, 49.82, 53
3 1 1, 53.38, 16
4 0 -2, 54.09, 7
5 1 -1, 66.94, 10
1 1 -3, 68.69, 18

(13)
The following is a simulated XRD peak list of LiAlCu3. It was derived from the PBE geometry in Alexandria, using λ = 1.5418 Å (Cu Kα).
Lines closer than 0.1° are merged.

Atomic structure:
Cell lengths 4.9783, 4.9783, 19.3308 Å; angles 90.00, 90.00, 120.00 degrees
Space group R-3m (No. 166, hexagonal axes)
Unique sites:
Li: 0.0000 0.0000 0.1656 (multiplicity 6)
Al: 0.0000 0.0000 0.4192 (multiplicity 6)
Cu: 0.0044 0.5022 0.3861 (multiplicity 18)

Most intense lines, 2θ from 5° to 70°, sorted by position:
(hkl), 2θ (°), intensity
0 0 3, 13.74, 100
1 0 1, 21.11, 8
0 0 6, 27.71, 34
1 0 7, 38.76, 14
0 0 9, 42.07, 23
0 2 1, 42.18, 51
0 1 8, 42.92, 11
0 2 4, 46.11, 57
2 0 5, 48.34, 48
2 0 8, 57.26, 18
0 2 10, 64.78, 8
1 2 8, 69.55, 9

(14)
The following is a simulated XRD peak list of Li2MgAl2Cu2. It was derived from the PBE geometry in Alexandria, using λ = 1.5418 Å (Cu Kα).
Lines closer than 0.1° are merged.

Atomic structure:
Cell lengths 8.1609, 4.2909, 7.1423 Å; angles 90.00, 106.87, 90.00 degrees
Space group C2/m (No. 12)
Unique sites:
Li: 0.1291 0.0000 0.2224 (multiplicity 4)
Mg: 0.0000 0.5000 0.5000 (multiplicity 2)
Al: 0.2095 0.0000 0.8316 (multiplicity 4)
Cu: 0.0533 0.5000 0.8603 (multiplicity 4)

Most intense lines, 2θ from 5° to 70°, sorted by position:
(hkl), 2θ (°), intensity
0 0 1, 12.95, 92
2 0 0, 22.75, 33
1 1 0, 23.66, 100
2 0 1, 29.45, 15
0 0 3, 39.57, 40
3 1 0, 40.53, 27
0 2 0, 42.12, 30
3 1 -2, 42.62, 30
1 1 -3, 43.47, 21
3 1 1, 45.91, 26
3 1 -3, 49.64, 31
0 2 3, 59.16, 23